Theoretical powder X-ray diffraction pattern
Compound: Zr3Ge6N11
Radiation: Cu Kα, 1.54184 Å
Structure: a DFT-relaxed cell (PBE, the Materials Project)
Peak positions follow from Bragg's law for the DFT cell and can differ from measured ones.

Main lines, in order of rising 2θ (10° ≤ 2θ ≤ 90°):
hkl 1 1 0, d 7.255, I = 22
hkl 0 0 1, d 5.131, I = 27
hkl 1 1 1, d 4.189, I = 18
hkl 2 2 1, d 2.962, I = 37
hkl 3 1 1, d 2.742, I = 100
hkl 0 0 2, d 2.566, I = 38
hkl 4 1 0, d 2.488, I = 78
hkl 4 1 2, d 1.786, I = 26
hkl 6 0 0, d 1.710, I = 17
hkl 7 2 1, d 1.359, I = 17

Structure:
```
Zr3Ge6N11
1.0
10.2596 0.0000 0.0000
0.0000 10.2596 0.0000
0.0000 0.0000 5.1317
Zr Ge N
6 12 22
Direct
0.0000 0.0000 0.0000
0.1804 0.3196 0.9367
0.3196 0.8196 0.9367
0.5000 0.5000 0.0000
0.6804 0.1804 0.9367
0.8196 0.6804 0.9367
0.0917 0.8127 0.5192
0.1277 0.6277 0.0287
0.1873 0.0917 0.5192
0.3127 0.5917 0.5192
0.3723 0.1277 0.0287
0.4083 0.3127 0.5192
0.5917 0.6873 0.5192
0.6277 0.8723 0.0287
0.6873 0.4083 0.5192
0.8127 0.9083 0.5192
0.8723 0.3723 0.0287
0.9083 0.1873 0.5192
0.0000 0.5000 0.0197
0.0650 0.1938 0.6921
0.1075 0.8031 0.1608
0.1772 0.6772 0.6938
0.1938 0.9350 0.6921
0.1969 0.1075 0.1608
0.3031 0.6075 0.1608
0.3062 0.4350 0.6921
0.3228 0.1772 0.6938
0.3925 0.3031 0.1608
0.4350 0.6938 0.6921
0.5000 0.0000 0.0197
0.5650 0.3062 0.6921
0.6075 0.6969 0.1608
0.6772 0.8228 0.6938
0.6938 0.5650 0.6921
0.6969 0.3925 0.1608
0.8031 0.8925 0.1608
0.8062 0.0650 0.6921
0.8228 0.3228 0.6938
0.8925 0.1969 0.1608
0.9350 0.8062 0.6921
```